Starting from a crystal structure in Alexandria, relaxed with GGA-PBE, the X-ray diffraction stick pattern of Cs2PSeCl5 was calculated for a wavelength of 1.5418 Å.

Crystal structure
Lattice parameters (Å, degrees): 7.5075 7.5075 10.5450 90.00 90.00 90.00
Space group I4mm (No. 107)
Inequivalent atoms, fractional coordinates:
Cs: 0.0000 0.5000 0.0000 [4 per cell]
P: 0.0000 0.0000 0.2330 [2 per cell]
Se: 0.0000 0.0000 0.0202 [2 per cell]
Cl: 0.0000 0.0000 0.4492 [2 per cell]
Cl: 0.2132 0.2132 0.2518 [8 per cell]

Largest 6 diffraction maxima, low angle first, 5° ≤ 2θ ≤ 70°:
2θ (°)  Rel. int.  h k l
14.48  26.3  1 0 1
23.74  57.5  2 0 0
29.20  100.0  2 0 2
33.77  42.1  2 2 0
48.68  24.3  2 2 4
57.62  21.4  4 2 2

=====

Starting from a crystal structure in Alexandria, relaxed with GGA-PBE, the X-ray diffraction stick pattern of Cs2TaPCl6 was calculated for a wavelength of 1.5418 Å.

Crystal structure
Lattice parameters (Å, degrees): 11.3602 11.3602 11.3602 90.00 90.00 90.00
Space group Fm-3m (No. 225)
Inequivalent atoms, fractional coordinates:
Cs: 0.2500 0.2500 0.2500 [8 per cell]
Ta: 0.0000 0.0000 0.0000 [4 per cell]
P: 0.0000 0.0000 0.5000 [4 per cell]
Cl: 0.0000 0.0000 0.2137 [24 per cell]

Largest 6 diffraction maxima, low angle first, 5° ≤ 2θ ≤ 70°:
2θ (°)  Rel. int.  h k l
13.50  47.2  1 1 1
22.13  100.0  2 2 0
31.50  53.1  4 0 0
38.84  41.0  4 2 2
45.15  34.2  4 4 0
61.04  27.9  6 4 2